(1)
The following is a computed powder diffractogram of SmErMn4. It was derived from a structure optimized by DFT (PBE), using Cu Kα (weighted mean of Kα1 and Kα2).
Intensities are scaled so that the largest is 100.

Principal peaks in the range 2θ = 10–90°, in order of falling intensity:
| index | d_spacing | I_rel |
| --- | --- | --- |
| 3 1 1 | 2.200 | 100 |
| 2 2 0 | 2.579 | 70 |
| 5 1 1 | 1.404 | 30 |
| 4 2 2 | 1.489 | 26 |
| 4 4 0 | 1.290 | 22 |
| 1 1 1 | 4.212 | 19 |
| 2 2 2 | 2.106 | 13 |
| 6 2 0 | 1.154 | 11 |
| 5 3 3 | 1.113 | 11 |
| 3 3 1 | 1.674 | 5 |
| 5 3 1 | 1.233 | 4 |
| 6 2 2 | 1.100 | 4 |

Crystal structure
Lattice parameters (Å, degrees): 7.2959 7.2959 7.2959 90.00 90.00 90.00
Space group F-43m (No. 216)
One atom of each set of equivalent atoms:
Sm1 0.0000 0.0000 0.0000 x4
Er1 0.2500 0.2500 0.7500 x4
Mn1 0.1249 0.1249 0.3751 x16


(2)
The following is a computed powder diffractogram of Mg14BiMo. It was derived from a structure optimized by DFT (PBE), using Cu Kα (weighted mean of Kα1 and Kα2).
Intensities are scaled so that the largest is 100.

Principal peaks in the range 2θ = 10–90°, in order of falling intensity:
| index | d_spacing | I_rel |
| --- | --- | --- |
| 2 0 2 | 2.412 | 100 |
| 1 0 0 | 5.457 | 73 |
| 1 0 2 | 3.750 | 57 |
| 2 0 0 | 2.728 | 33 |
| 0 0 4 | 2.581 | 25 |
| 1 1 2 | 2.689 | 25 |
| 2 0 4 | 1.875 | 22 |
| 0 0 2 | 5.162 | 21 |
| 2 1 2 | 1.915 | 21 |
| 1 1 0 | 3.150 | 19 |
| 2 0 6 | 1.455 | 19 |
| 2 2 4 | 1.345 | 19 |

Crystal structure
Lattice parameters (Å, degrees): 6.3007 6.3007 10.3237 90.00 90.00 120.00
Space group P-6m2 (No. 187)
One atom of each set of equivalent atoms:
Mg1 0.0000 0.0000 0.2483 x2
Mg2 0.0088 0.5044 0.2339 x6
Mg3 0.3313 0.1657 0.0000 x3
Mg4 0.3335 0.1668 0.5000 x3
Bi1 0.3333 0.6667 0.5000 x1
Mo1 0.3333 0.6667 0.0000 x1


(3)
The following is a computed powder diffractogram of Sr4Zn51. It was derived from a structure optimized by DFT (PBE), using Cu Kα (weighted mean of Kα1 and Kα2).
Intensities are scaled so that the largest is 100.

Principal peaks in the range 2θ = 10–90°, in order of falling intensity:
| index | d_spacing | I_rel |
| --- | --- | --- |
| 4 -1 2 | 2.084 | 100 |
| 3 -2 8 | 2.514 | 83 |
| 1 2 14 | 2.075 | 50 |
| 1 1 18 | 2.067 | 47 |
| 3 0 12 | 2.049 | 39 |
| 2 -1 12 | 2.740 | 31 |
| 2 1 4 | 2.757 | 30 |
| 1 0 16 | 2.493 | 28 |
| 1 0 4 | 6.146 | 22 |
| 6 -4 10 | 1.353 | 16 |
| 4 -3 4 | 2.056 | 13 |
| 4 0 16 | 1.536 | 12 |

Crystal structure
Lattice parameters (Å, degrees): 8.7245 8.7245 42.2625 90.00 90.00 120.00
Space group R-3 (No. 148, hexagonal axes)
One atom of each set of equivalent atoms:
Sr1 0.0000 0.0000 0.1244 x6
Sr2 0.0000 0.0000 0.3750 x6
Zn1 0.0000 0.0000 0.2501 x6
Zn2 0.0000 0.0000 0.5000 x3
Zn3 0.0113 0.3865 0.4067 x18
Zn4 0.0112 0.6245 0.1569 x18
Zn5 0.0122 0.3861 0.9071 x18
Zn6 0.0207 0.6261 0.6571 x18
Zn7 0.0375 0.8439 0.0487 x18
Zn8 0.0403 0.2006 0.8000 x18
Zn9 0.0408 0.2013 0.3004 x18
Zn10 0.0419 0.8401 0.5505 x18


(4)
The following is a computed powder diffractogram of Cs2LiAuCl6. It was derived from a structure optimized by DFT (PBE), using Cu Kα (weighted mean of Kα1 and Kα2).
Intensities are scaled so that the largest is 100.

Principal peaks in the range 2θ = 10–90°, in order of falling intensity:
| index | d_spacing | I_rel |
| --- | --- | --- |
| 2 2 0 | 3.674 | 100 |
| 4 0 0 | 2.598 | 61 |
| 1 1 1 | 6.000 | 53 |
| 4 2 2 | 2.121 | 46 |
| 4 4 0 | 1.837 | 42 |
| 3 1 1 | 3.133 | 32 |
| 6 4 2 | 1.389 | 25 |
| 6 2 0 | 1.643 | 21 |
| 2 2 2 | 3.000 | 20 |
| 8 4 0 | 1.162 | 19 |
| 4 4 4 | 1.500 | 14 |
| 3 3 1 | 2.384 | 14 |

Crystal structure
Lattice parameters (Å, degrees): 10.3919 10.3919 10.3919 90.00 90.00 90.00
Space group Fm-3m (No. 225)
One atom of each set of equivalent atoms:
Cs1 0.2500 0.2500 0.2500 x8
Li1 0.0000 0.0000 0.0000 x4
Au1 0.0000 0.0000 0.5000 x4
Cl1 0.0000 0.0000 0.2551 x24


(5)
The following is a computed powder diffractogram of KLaSiC4N8. It was derived from a structure optimized by DFT (PBE), using Cu Kα (weighted mean of Kα1 and Kα2).
Intensities are scaled so that the largest is 100.

Principal peaks in the range 2θ = 10–90°, in order of falling intensity:
| index | d_spacing | I_rel |
| --- | --- | --- |
| 1 1 0 | 5.977 | 100 |
| 1 1 2 | 3.014 | 56 |
| 2 2 0 | 2.988 | 47 |
| 0 1 1 | 5.630 | 40 |
| 0 0 2 | 3.497 | 27 |
| 3 1 2 | 2.017 | 26 |
| 0 2 0 | 4.763 | 22 |
| 2 1 1 | 3.171 | 22 |
| 1 3 2 | 2.246 | 21 |
| 2 2 2 | 2.270 | 17 |
| 2 3 1 | 2.309 | 16 |
| 1 0 3 | 2.227 | 10 |

Crystal structure
Lattice parameters (Å, degrees): 7.6752 9.5259 6.9801 90.00 90.00 90.00
Space group P2_12_12 (No. 18)
One atom of each set of equivalent atoms:
K1 0.0000 0.0000 0.0783 x2
La1 0.0000 0.5000 0.7409 x2
Si1 0.0000 0.5000 0.2482 x2
C1 0.1725 0.2710 0.3642 x4
C2 0.2144 0.7004 0.1274 x4
N1 0.1000 0.3870 0.4068 x4
N2 0.1352 0.5867 0.0883 x4
N3 0.2089 0.3076 0.8441 x4
N4 0.2397 0.1608 0.3276 x4


(6)
The following is a computed powder diffractogram of GdNi12B6. It was derived from a structure optimized by DFT (PBE), using Cu Kα (weighted mean of Kα1 and Kα2).
Intensities are scaled so that the largest is 100.

Principal peaks in the range 2θ = 10–90°, in order of falling intensity:
| index | d_spacing | I_rel |
| --- | --- | --- |
| 1 3 2 | 2.181 | 100 |
| 4 0 2 | 2.191 | 74 |
| 3 1 3 | 2.283 | 66 |
| 2 2 1 | 2.822 | 58 |
| 2 2 2 | 2.578 | 48 |
| 1 1 5 | 2.054 | 41 |
| 5 3 0 | 1.508 | 27 |
| 0 0 4 | 2.743 | 27 |
| 3 3 4 | 1.586 | 25 |
| 0 2 3 | 2.594 | 19 |
| 3 3 8 | 1.121 | 18 |
| 3 1 4 | 2.001 | 18 |

Crystal structure
Lattice parameters (Å, degrees): 9.5600 7.3610 10.9734 90.00 90.00 90.00
Space group Cmc2_1 (No. 36)
One atom of each set of equivalent atoms:
Gd1 0.0000 0.1658 0.0000 x4
Ni1 0.0000 0.2176 0.6019 x4
Ni2 0.0000 0.4349 0.4215 x4
Ni3 0.1308 0.3258 0.2366 x8
Ni4 0.1306 0.3431 0.7786 x8
Ni5 0.1319 0.0135 0.7580 x8
Ni6 0.1827 0.1870 0.4395 x8
Ni7 0.1938 0.4651 0.5706 x8
B1 0.0000 0.1639 0.3407 x4
B2 0.0000 0.4882 0.6566 x4
B3 0.2066 0.1951 0.6251 x8
B4 0.2152 0.4589 0.3878 x8


(7)
The following is a computed powder diffractogram of Er8Rh5C12. It was derived from a structure optimized by DFT (PBE), using Cu Kα (weighted mean of Kα1 and Kα2).
Intensities are scaled so that the largest is 100.

Principal peaks in the range 2θ = 10–90°, in order of falling intensity:
| index | d_spacing | I_rel |
| --- | --- | --- |
| 7 1 0 | 2.620 | 100 |
| 3 1 -2 | 2.476 | 100 |
| 1 1 2 | 2.512 | 73 |
| 4 0 -2 | 3.362 | 56 |
| 7 1 1 | 2.433 | 42 |
| 0 2 0 | 1.742 | 41 |
| 5 1 1 | 2.707 | 39 |
| 4 0 2 | 3.167 | 37 |
| 10 0 0 | 2.782 | 37 |
| 3 1 2 | 2.414 | 36 |
| 5 1 0 | 2.953 | 34 |
| 17 1 0 | 1.481 | 31 |

Crystal structure
Lattice parameters (Å, degrees): 27.8892 3.4848 7.4010 90.00 94.13 90.00
Space group C2/m (No. 12)
One atom of each set of equivalent atoms:
Er1 0.0467 0.0000 0.2962 x4
Er2 0.0885 0.0000 0.8267 x4
Er3 0.2000 0.0000 0.6102 x4
Er4 0.2071 0.0000 0.1157 x4
Rh1 0.0000 0.5000 0.0000 x2
Rh2 0.1101 0.5000 0.4949 x4
Rh3 0.1160 0.5000 0.1284 x4
C1 0.0230 0.5000 0.7563 x4
C2 0.0477 0.5000 0.6139 x4
C3 0.1585 0.5000 0.8728 x4
C4 0.1682 0.5000 0.3469 x4
C5 0.2071 0.5000 0.8684 x4
C6 0.2162 0.5000 0.3655 x4


(8)
The following is a computed powder diffractogram of Er2FeC4. It was derived from a structure optimized by DFT (PBE), using Cu Kα (weighted mean of Kα1 and Kα2).
Intensities are scaled so that the largest is 100.

Principal peaks in the range 2θ = 10–90°, in order of falling intensity:
| index | d_spacing | I_rel |
| --- | --- | --- |
| 1 2 1 | 3.125 | 100 |
| 2 1 1 | 2.851 | 83 |
| 1 3 0 | 2.915 | 45 |
| 3 3 2 | 1.539 | 45 |
| 0 4 2 | 1.720 | 34 |
| 3 1 0 | 2.406 | 30 |
| 0 0 2 | 2.497 | 25 |
| 1 1 2 | 2.298 | 24 |
| 2 5 1 | 1.603 | 21 |
| 3 3 0 | 1.956 | 16 |
| 5 2 1 | 1.369 | 16 |
| 0 4 0 | 2.375 | 15 |

Crystal structure
Lattice parameters (Å, degrees): 7.4598 9.4989 4.9945 90.00 90.00 90.00
Space group Ibam (No. 72)
One atom of each set of equivalent atoms:
Er1 0.1556 0.1446 0.0000 x8
Fe1 0.0000 0.5000 0.2500 x4
C1 0.1613 0.1294 0.5000 x8
C2 0.1662 0.4220 0.0000 x8


(9)
The following is a computed powder diffractogram of Mg6CoNi. It was derived from a structure optimized by DFT (PBE), using Cu Kα (weighted mean of Kα1 and Kα2).
Intensities are scaled so that the largest is 100.

Principal peaks in the range 2θ = 10–90°, in order of falling intensity:
| index | d_spacing | I_rel |
| --- | --- | --- |
| 1 2 2 | 2.321 | 100 |
| 2 0 0 | 2.265 | 26 |
| 0 0 4 | 2.361 | 23 |
| 0 1 1 | 5.405 | 19 |
| 3 2 2 | 1.318 | 15 |
| 2 0 4 | 1.635 | 14 |
| 1 1 1 | 3.472 | 12 |
| 1 2 6 | 1.355 | 10 |
| 0 1 3 | 2.841 | 9 |
| 1 0 2 | 3.270 | 9 |
| 0 4 0 | 1.648 | 8 |
| 2 4 4 | 1.161 | 7 |

Crystal structure
Lattice parameters (Å, degrees): 4.5309 6.5903 9.4457 90.00 90.00 90.00
Space group Amm2 (No. 38)
One atom of each set of equivalent atoms:
Mg1 0.0000 0.0000 0.0000 x2
Mg2 0.0000 0.2224 0.2532 x4
Mg3 0.5000 0.0000 0.7275 x2
Mg4 0.5000 0.2219 0.4767 x4
Co1 0.0000 0.0000 0.5149 x2
Ni1 0.5000 0.0000 0.2165 x2


(10)
The following is a computed powder diffractogram of Y4C7. It was derived from a structure optimized by DFT (PBE), using Cu Kα (weighted mean of Kα1 and Kα2).
Intensities are scaled so that the largest is 100.

Principal peaks in the range 2θ = 10–90°, in order of falling intensity:
| index | d_spacing | I_rel |
| --- | --- | --- |
| 0 4 1 | 3.019 | 100 |
| 0 0 2 | 3.141 | 52 |
| 1 2 1 | 2.616 | 51 |
| 1 1 -2 | 2.682 | 47 |
| 1 3 -1 | 2.801 | 34 |
| 1 1 1 | 2.770 | 28 |
| 2 1 -1 | 1.844 | 22 |
| 1 2 0 | 3.191 | 21 |
| 1 6 0 | 1.936 | 17 |
| 1 5 2 | 1.677 | 17 |
| 2 5 -2 | 1.488 | 16 |
| 0 6 1 | 2.156 | 15 |

Crystal structure
Lattice parameters (Å, degrees): 3.7226 13.7738 6.4869 90.00 104.74 90.00
Space group P2_1/c (No. 14)
One atom of each set of equivalent atoms:
Y1 0.0560 0.1626 0.1602 x4
Y2 0.3663 0.0551 0.7390 x4
C1 0.0000 0.0000 0.0000 x2
C2 0.2674 0.6046 0.0505 x4
C3 0.3784 0.6966 0.0471 x4
C4 0.4691 0.2158 0.9235 x4